Entry 1:
# MgVW2O8
Calculated powder X-ray diffraction pattern, Cu Kα X-rays. Input: a cell relaxed with GGA+U.

Principal peaks in the range 10° ≤ 2θ ≤ 90°, by intensity:
2θ/deg, intensity
14.04, 100
29.04, 81
17.91, 73
23.95, 68
37.91, 33
22.67, 33
46.36, 32
18.41, 28

Atomic structure:
```
data_MgVW2O8
_chemical_formula_sum 'Mg1 V1 W2 O8'
_cell_length_a 4.982
_cell_length_b 5.505
_cell_length_c 6.757
_cell_angle_alpha 69.19
_cell_angle_beta 87.41
_cell_angle_gamma 74.39
_symmetry_space_group_name_H-M 'P 1'
_symmetry_Int_Tables_number 1
_symmetry_space_group_name_Hall 'P 1'
loop_
_atom_site_label
_atom_site_type_symbol
_atom_site_fract_x
_atom_site_fract_y
_atom_site_fract_z
Mg1 Mg 0.000 0.000 0.000
V1 V 0.524 0.001 0.645
W1 W 0.264 0.495 0.798
W2 W 0.782 0.512 0.476
O1 O 0.165 0.311 0.597
O2 O 0.187 0.255 0.041
O3 O 0.324 0.792 0.878
O4 O 0.424 0.732 0.509
O5 O 0.664 0.241 0.790
O6 O 0.680 0.263 0.397
O7 O 0.865 0.736 0.229
O8 O 0.876 0.714 0.676
```

***

Entry 2:
# Li4Ti3Mn2Cu3O16
Calculated powder X-ray diffraction pattern, Cu Kα X-rays. Input: a cell relaxed with GGA+U.

Principal peaks in the range 10° ≤ 2θ ≤ 90°, by intensity:
2θ/deg, intensity
18.60, 100
19.89, 62
19.56, 58
63.06, 47
36.28, 47
45.12, 39
20.04, 36
35.25, 33

Atomic structure:
```
data_Li4Ti3Mn2Cu3O16
_chemical_formula_sum 'Li4 Ti3 Mn2 Cu3 O16'
_cell_length_a 5.893
_cell_length_b 5.895
_cell_length_c 9.546
_cell_angle_alpha 88.02
_cell_angle_beta 89.91
_cell_angle_gamma 60.11
_symmetry_space_group_name_H-M 'P 1'
_symmetry_Int_Tables_number 1
_symmetry_space_group_name_Hall 'P 1'
loop_
_atom_site_label
_atom_site_type_symbol
_atom_site_fract_x
_atom_site_fract_y
_atom_site_fract_z
Li1 Li 0.000 0.000 0.000
Li2 Li 0.004 0.993 0.508
Li3 Li 0.346 0.307 0.414
Li4 Li 0.679 0.644 0.910
Ti1 Ti 0.180 0.638 0.727
Ti2 Ti 0.350 0.804 0.226
Ti3 Ti 0.845 0.805 0.226
Mn1 Mn 0.345 0.308 0.995
Mn2 Mn 0.679 0.640 0.498
Cu1 Cu 0.180 0.150 0.721
Cu2 Cu 0.668 0.150 0.724
Cu3 Cu 0.841 0.318 0.221
O1 O 0.010 0.988 0.810
O2 O 0.011 0.979 0.317
O3 O 0.049 0.483 0.868
O4 O 0.182 0.637 0.120
O5 O 0.198 0.127 0.105
O6 O 0.340 0.313 0.620
O7 O 0.357 0.783 0.608
O8 O 0.476 0.474 0.865
O9 O 0.484 0.029 0.860
O10 O 0.519 0.513 0.365
O11 O 0.530 0.939 0.350
O12 O 0.674 0.652 0.118
O13 O 0.675 0.127 0.105
O14 O 0.843 0.314 0.609
O15 O 0.853 0.793 0.610
O16 O 0.968 0.514 0.366
```

***

Entry 3:
# MgMn2O4
Calculated powder X-ray diffraction pattern, Cu Kα X-rays. Input: a cell relaxed with GGA+U.

Principal peaks in the range 10° ≤ 2θ ≤ 90°, by intensity:
2θ/deg, intensity
17.55, 100
33.84, 82
26.46, 61
34.30, 36
58.77, 33
37.22, 17
58.02, 17
65.02, 13

Atomic structure:
```
data_MgMn2O4
_chemical_formula_sum 'Mg1 Mn2 O4'
_cell_length_a 3.142
_cell_length_b 3.143
_cell_length_c 10.107
_cell_angle_alpha 89.88
_cell_angle_beta 89.52
_cell_angle_gamma 60.78
_symmetry_space_group_name_H-M 'P 1'
_symmetry_Int_Tables_number 1
_symmetry_space_group_name_Hall 'P 1'
loop_
_atom_site_label
_atom_site_type_symbol
_atom_site_fract_x
_atom_site_fract_y
_atom_site_fract_z
Mg1 Mg 0.000 0.000 0.000
Mn1 Mn 0.342 0.329 0.725
Mn2 Mn 0.657 0.669 0.296
O1 O 0.007 0.992 0.672
O2 O 0.324 0.339 0.378
O3 O 0.338 0.335 0.934
O4 O 0.987 0.995 0.198
```

***

Entry 4:
# Li6FeCo3P6O24
Calculated powder X-ray diffraction pattern, Cu Kα X-rays. Input: a cell relaxed with GGA+U.

Principal peaks in the range 10° ≤ 2θ ≤ 90°, by intensity:
2θ/deg, intensity
24.09, 100
20.91, 61
20.25, 52
24.26, 48
35.46, 42
14.52, 32
29.37, 30
21.08, 28

Atomic structure:
```
data_Li6FeCo3P6O24
_chemical_formula_sum 'Li6 Fe1 Co3 P6 O24'
_cell_length_a 8.436
_cell_length_b 8.505
_cell_length_c 8.506
_cell_angle_alpha 62.17
_cell_angle_beta 62.27
_cell_angle_gamma 62.33
_symmetry_space_group_name_H-M 'P 1'
_symmetry_Int_Tables_number 1
_symmetry_space_group_name_Hall 'P 1'
loop_
_atom_site_label
_atom_site_type_symbol
_atom_site_fract_x
_atom_site_fract_y
_atom_site_fract_z
Li1 Li 0.000 0.000 0.000
Li2 Li 0.093 0.912 0.502
Li3 Li 0.187 0.421 0.384
Li4 Li 0.361 0.768 0.146
Li5 Li 0.578 0.613 0.807
Li6 Li 0.820 0.267 0.649
Fe1 Fe 0.987 0.411 0.799
Co1 Co 0.193 0.615 0.003
Co2 Co 0.486 0.911 0.289
Co3 Co 0.696 0.125 0.506
P1 P 0.091 0.216 0.202
P2 P 0.298 0.012 0.691
P3 P 0.393 0.515 0.602
P4 P 0.591 0.306 0.111
P5 P 0.791 0.815 0.902
P6 P 0.886 0.725 0.403
O1 O 0.027 0.255 0.041
O2 O 0.076 0.702 0.239
O3 O 0.104 0.170 0.725
O4 O 0.154 0.375 0.170
O5 O 0.229 0.451 0.644
O6 O 0.246 0.022 0.220
O7 O 0.287 0.850 0.883
O8 O 0.312 0.960 0.534
O9 O 0.362 0.573 0.766
O10 O 0.386 0.686 0.420
O11 O 0.430 0.498 0.095
O12 O 0.468 0.068 0.642
O13 O 0.528 0.145 0.151
O14 O 0.583 0.358 0.581
O15 O 0.601 0.833 0.059
O16 O 0.658 0.266 0.268
O17 O 0.713 0.771 0.353
O18 O 0.746 0.329 0.914
O19 O 0.795 0.998 0.733
O20 O 0.828 0.651 0.844
O21 O 0.870 0.880 0.459
O22 O 0.906 0.529 0.560
O23 O 0.935 0.195 0.396
O24 O 0.955 0.780 0.965
```

***

Entry 5:
# KMnF3
Calculated powder X-ray diffraction pattern, Cu Kα X-rays. Input: a cell relaxed with GGA+U.

Principal peaks in the range 10° ≤ 2θ ≤ 90°, by intensity:
2θ/deg, intensity
29.65, 100
42.43, 71
61.57, 39
52.62, 36
20.85, 26
85.23, 17
69.81, 15
36.53, 12

Atomic structure:
```
data_KMnF3
_chemical_formula_sum 'K1 Mn1 F3'
_cell_length_a 4.260
_cell_length_b 4.260
_cell_length_c 4.260
_cell_angle_alpha 90.00
_cell_angle_beta 90.00
_cell_angle_gamma 90.00
_symmetry_space_group_name_H-M 'P m -3 m'
_symmetry_Int_Tables_number 221
_symmetry_space_group_name_Hall '-P 4 2 3'
loop_
_atom_site_label
_atom_site_type_symbol
_atom_site_fract_x
_atom_site_fract_y
_atom_site_fract_z
K1 K 0.000 0.000 0.000
Mn1 Mn 0.500 0.500 0.500
F1 F 0.000 0.500 0.500
```

***

Entry 6:
# V2Cu3H2O9
Calculated powder X-ray diffraction pattern, Cu Kα X-rays. Input: a cell relaxed with GGA+U.

Principal peaks in the range 10° ≤ 2θ ≤ 90°, by intensity:
2θ/deg, intensity
12.05, 100
35.83, 14
33.39, 11
29.15, 10
38.75, 10
27.34, 10
20.76, 9
31.16, 9

Atomic structure:
```
data_V2Cu3H2O9
_chemical_formula_sum 'V4 Cu6 H4 O18'
_cell_length_a 10.852
_cell_length_b 5.668
_cell_length_c 7.424
_cell_angle_alpha 90.00
_cell_angle_beta 98.43
_cell_angle_gamma 90.00
_symmetry_space_group_name_H-M 'C 1 2/m 1'
_symmetry_Int_Tables_number 12
_symmetry_space_group_name_Hall '-C 2y'
loop_
_atom_site_label
_atom_site_type_symbol
_atom_site_fract_x
_atom_site_fract_y
_atom_site_fract_z
V1 V 0.004 0.000 0.243
Cu1 Cu 0.000 0.500 0.500
Cu2 Cu 0.250 0.250 0.500
H1 H 0.162 0.500 0.959
O1 O 0.000 0.000 0.000
O2 O 0.070 0.240 0.688
O3 O 0.151 0.500 0.402
O4 O 0.166 0.000 0.359
```

***

Entry 7:
# Co3P2O8
Calculated powder X-ray diffraction pattern, Cu Kα X-rays. Input: a cell relaxed with GGA+U.

Principal peaks in the range 10° ≤ 2θ ≤ 90°, by intensity:
2θ/deg, intensity
25.31, 100
35.16, 71
22.79, 49
31.90, 45
51.94, 39
36.22, 35
14.74, 30
29.73, 24

Atomic structure:
```
data_Co3P2O8
_chemical_formula_sum 'Co6 P4 O16'
_cell_length_a 6.011
_cell_length_b 4.803
_cell_length_c 10.371
_cell_angle_alpha 90.00
_cell_angle_beta 90.73
_cell_angle_gamma 90.00
_symmetry_space_group_name_H-M 'P 1 21/c 1'
_symmetry_Int_Tables_number 14
_symmetry_space_group_name_Hall '-P 2ybc'
loop_
_atom_site_label
_atom_site_type_symbol
_atom_site_fract_x
_atom_site_fract_y
_atom_site_fract_z
Co1 Co 0.000 0.000 0.000
Co2 Co 0.263 0.017 0.724
P1 P 0.243 0.574 0.903
O1 O 0.033 0.729 0.840
O2 O 0.226 0.246 0.396
O3 O 0.246 0.686 0.043
O4 O 0.437 0.687 0.821
```

***

Entry 8:
# Ba2SmVO6
Calculated powder X-ray diffraction pattern, Cu Kα X-rays. Input: a cell relaxed with GGA+U.

Principal peaks in the range 10° ≤ 2θ ≤ 90°, by intensity:
2θ/deg, intensity
29.90, 100
53.09, 39
42.80, 30
86.10, 21
62.13, 19
70.47, 18
18.18, 8
35.22, 7

Atomic structure:
```
data_Ba2SmVO6
_chemical_formula_sum 'Ba8 Sm4 V4 O24'
_cell_length_a 8.451
_cell_length_b 8.451
_cell_length_c 8.451
_cell_angle_alpha 90.00
_cell_angle_beta 90.00
_cell_angle_gamma 90.00
_symmetry_space_group_name_H-M 'F m -3 m'
_symmetry_Int_Tables_number 225
_symmetry_space_group_name_Hall '-F 4 2 3'
loop_
_atom_site_label
_atom_site_type_symbol
_atom_site_fract_x
_atom_site_fract_y
_atom_site_fract_z
Ba1 Ba 0.250 0.250 0.250
Sm1 Sm 0.000 0.000 0.000
V1 V 0.000 0.000 0.500
O1 O 0.000 0.000 0.273
```